1.
Diffraction record for Tb12Dy2Pu. The powder X-ray diffraction pattern is simulated, not measured: it uses a DFT-relaxed cell (PBE, Alexandria) and Cu Kα.
Peak positions follow from Bragg's law for the DFT cell and can differ from measured ones.

Cell and atoms:
```
Tb12Dy2Pu
1.0
3.547 -5.587 0.000
3.547 5.587 0.000
-1.813 0.000 24.286
Tb Dy Pu
24 4 2
Direct
0.050 0.547 0.200
0.078 0.585 0.329
0.134 0.643 0.556
0.148 0.148 0.572
0.218 0.218 0.864
0.235 0.735 0.928
0.265 0.765 0.072
0.281 0.281 0.134
0.357 0.866 0.444
0.359 0.359 0.422
0.415 0.922 0.671
0.453 0.950 0.800
0.547 0.050 0.200
0.585 0.078 0.329
0.641 0.641 0.578
0.643 0.134 0.556
0.719 0.719 0.866
0.735 0.235 0.928
0.765 0.265 0.072
0.782 0.782 0.136
0.852 0.852 0.428
0.866 0.357 0.444
0.922 0.415 0.671
0.950 0.453 0.800
0.069 0.069 0.271
0.437 0.437 0.730
0.563 0.563 0.270
0.931 0.931 0.729
0.250 0.250 0.999
0.750 0.750 0.001
```

Principal peaks in the range 15 to 90 degrees two-theta, sorted by position:
d_spacing  Position (°2θ)  Rel. int.
2.946  30.34  100.0
2.862  31.26  53.4
2.793  32.04  66.8
2.766  32.37  36.3
2.750  32.56  50.1
2.667  33.60  42.8
1.965  46.19  27.2
1.774  51.52  17.7
1.641  56.06  18.7
1.497  61.97  20.3

***

2.
Diffraction record for WICl4. The powder X-ray diffraction pattern is simulated, not measured: it uses a DFT-relaxed cell (PBE, Alexandria) and Cu Kα.
Peak positions follow from Bragg's law for the DFT cell and can differ from measured ones.

Cell and atoms:
```
WICl4
1.0
6.908 0.000 0.000
-2.968 6.449 0.000
-0.564 -3.955 5.874
W I Cl
1 1 4
Direct
0.000 0.000 0.000
0.882 0.345 0.167
0.013 0.019 0.693
0.104 0.701 0.855
0.314 0.248 0.312
0.677 0.722 0.992
```

Principal peaks in the range 15 to 90 degrees two-theta, sorted by position:
d_spacing  Position (°2θ)  Rel. int.
5.881  15.06  100.0
5.142  17.25  13.0
3.776  23.56  18.4
3.584  24.84  14.2
3.540  25.15  15.0
3.138  28.44  10.9
2.941  30.40  14.9
2.846  31.43  14.8
2.336  38.54  11.8
2.312  38.96  10.3